Record 1
RbPrSmSe3: computed powder diffractogram (Cu Kα), based on a cell relaxed with PBE.
Peak positions follow from Bragg's law for the DFT cell and can differ from measured ones.

Cell: 8.356 8.356 10.538 Å, 90.00 90.00 145.36°
Fractional positions:
Rb (0.237, 0.763, 0.750)
Rb (0.763, 0.237, 0.250)
Pr (0.493, 0.507, 0.750)
Pr (0.507, 0.493, 0.250)
Sm (0.000, 0.000, 0.000)
Sm (0.000, 0.000, 0.500)
Se (0.092, 0.908, 0.250)
Se (0.388, 0.612, 0.038)
Se (0.388, 0.612, 0.462)
Se (0.612, 0.388, 0.538)
Se (0.612, 0.388, 0.962)
Se (0.908, 0.092, 0.750)

Main lines, in order of rising 2θ (10° ≤ 2θ ≤ 80°):
d = 7.977 Å, rel. 100; d = 3.435 Å, rel. 26; d = 2.991 Å, rel. 91; d = 2.635 Å, rel. 35; d = 2.487 Å, rel. 33; d = 2.393 Å, rel. 66; d = 1.928 Å, rel. 21; d = 1.809 Å, rel. 23; d = 1.417 Å, rel. 13; d = 1.340 Å, rel. 16



Record 2
PrRe4SiSn: computed powder diffractogram (Cu Kα), based on a cell relaxed with PBE.
Peak positions follow from Bragg's law for the DFT cell and can differ from measured ones.

Cell: 4.203 7.753 7.753 Å, 31.64 90.00 90.00°
Fractional positions:
Pr (0.000, 0.000, 0.000)
Re (0.000, 0.278, 0.278)
Re (0.000, 0.681, 0.681)
Re (0.500, 0.179, 0.179)
Re (0.500, 0.781, 0.781)
Si (0.500, 0.584, 0.584)
Sn (0.500, 0.403, 0.403)

Main lines, in order of rising 2θ (10° ≤ 2θ ≤ 80°):
d = 7.459 Å, rel. 87; d = 2.556 Å, rel. 100; d = 2.114 Å, rel. 29; d = 2.109 Å, rel. 59; d = 2.101 Å, rel. 28; d = 1.734 Å, rel. 19; d = 1.491 Å, rel. 26; d = 1.290 Å, rel. 12; d = 1.285 Å, rel. 12; d = 1.219 Å, rel. 11



Record 3
Pr10S19: computed powder diffractogram (Cu Kα), based on a cell relaxed with PBE.
Peak positions follow from Bragg's law for the DFT cell and can differ from measured ones.

Cell: 9.013 9.013 16.302 Å, 90.00 90.00 90.00°
Fractional positions:
Pr (0.041, 0.348, 0.122)
Pr (0.056, 0.354, 0.603)
Pr (0.146, 0.056, 0.897)
Pr (0.152, 0.041, 0.378)
Pr (0.250, 0.750, 0.114)
Pr (0.250, 0.750, 0.614)
Pr (0.348, 0.459, 0.378)
Pr (0.354, 0.444, 0.897)
Pr (0.444, 0.146, 0.603)
Pr (0.459, 0.152, 0.122)
Pr (0.541, 0.848, 0.878)
Pr (0.556, 0.854, 0.397)
Pr (0.646, 0.556, 0.103)
Pr (0.652, 0.541, 0.622)
Pr (0.750, 0.250, 0.386)
Pr (0.750, 0.250, 0.886)
Pr (0.848, 0.959, 0.622)
Pr (0.854, 0.944, 0.103)
Pr (0.944, 0.646, 0.397)
Pr (0.959, 0.652, 0.878)
S (0.030, 0.804, 0.249)
S (0.049, 0.348, 0.426)
S (0.053, 0.352, 0.938)
S (0.078, 0.889, 0.750)
S (0.111, 0.578, 0.250)
S (0.148, 0.053, 0.562)
S (0.152, 0.049, 0.074)
S (0.196, 0.530, 0.749)
S (0.250, 0.250, 0.250)
S (0.250, 0.750, 0.434)
S (0.250, 0.750, 0.934)
S (0.304, 0.970, 0.749)
S (0.348, 0.451, 0.074)
S (0.352, 0.447, 0.562)
S (0.389, 0.922, 0.250)
S (0.422, 0.611, 0.750)
S (0.447, 0.148, 0.938)
S (0.451, 0.152, 0.426)
S (0.470, 0.696, 0.249)
S (0.530, 0.304, 0.751)
S (0.549, 0.848, 0.574)
S (0.553, 0.852, 0.062)
S (0.578, 0.389, 0.250)
S (0.611, 0.078, 0.750)
S (0.648, 0.553, 0.438)
S (0.652, 0.549, 0.926)
S (0.696, 0.030, 0.251)
S (0.750, 0.250, 0.066)
S (0.750, 0.250, 0.566)
S (0.750, 0.750, 0.750)
S (0.804, 0.470, 0.251)
S (0.848, 0.951, 0.926)
S (0.852, 0.947, 0.438)
S (0.889, 0.422, 0.750)
S (0.922, 0.111, 0.250)
S (0.947, 0.648, 0.062)
S (0.951, 0.652, 0.574)
S (0.970, 0.196, 0.751)

Main lines, in order of rising 2θ (10° ≤ 2θ ≤ 80°):
d = 4.075 Å, rel. 29; d = 3.613 Å, rel. 100; d = 2.850 Å, rel. 48; d = 2.691 Å, rel. 16; d = 2.336 Å, rel. 61; d = 2.253 Å, rel. 41; d = 2.015 Å, rel. 29; d = 1.806 Å, rel. 16; d = 1.760 Å, rel. 27; d = 1.502 Å, rel. 22



Record 4
Pr2Se3S: computed powder diffractogram (Cu Kα), based on a cell relaxed with PBE.
Peak positions follow from Bragg's law for the DFT cell and can differ from measured ones.

Cell: 10.353 10.353 7.616 Å, 90.06 90.06 24.54°
Fractional positions:
Pr (0.000, 0.000, 0.000)
Pr (0.500, 0.500, 0.491)
Se (0.425, 0.425, 0.829)
Se (0.575, 0.575, 0.828)
Se (0.919, 0.919, 0.329)
S (0.066, 0.066, 0.330)

Main lines, in order of rising 2θ (10° ≤ 2θ ≤ 80°):
d = 3.745 Å, rel. 90; d = 3.564 Å, rel. 34; d = 3.317 Å, rel. 67; d = 3.042 Å, rel. 42; d = 2.774 Å, rel. 100; d = 2.525 Å, rel. 49; d = 2.303 Å, rel. 76; d = 2.186 Å, rel. 80; d = 2.150 Å, rel. 27; d = 1.658 Å, rel. 44



Record 5
PrY2S3: computed powder diffractogram (Cu Kα), based on a cell relaxed with PBE.
Peak positions follow from Bragg's law for the DFT cell and can differ from measured ones.

Cell: 3.957 3.957 9.832 Å, 90.00 90.00 120.00°
Fractional positions:
Pr (0.000, 0.000, 0.000)
Y (0.333, 0.667, 0.663)
Y (0.667, 0.333, 0.337)
S (0.000, 0.000, 0.500)
S (0.333, 0.667, 0.181)
S (0.667, 0.333, 0.819)

Main lines, in order of rising 2θ (10° ≤ 2θ ≤ 80°):
d = 3.277 Å, rel. 14; d = 3.236 Å, rel. 42; d = 2.811 Å, rel. 100; d = 1.997 Å, rel. 35; d = 1.979 Å, rel. 34; d = 1.694 Å, rel. 13; d = 1.618 Å, rel. 18; d = 1.406 Å, rel. 11; d = 1.262 Å, rel. 14; d = 1.253 Å, rel. 15



Record 6
PrYSc2Sb2: computed powder diffractogram (Cu Kα), based on a cell relaxed with PBE.
Peak positions follow from Bragg's law for the DFT cell and can differ from measured ones.

Cell: 8.813 8.813 8.813 Å, 150.97 150.97 41.51°
Fractional positions:
Pr (0.000, 0.000, 0.000)
Y (0.352, 0.352, 0.000)
Sc (0.177, 0.677, 0.500)
Sc (0.677, 0.177, 0.500)
Sb (0.549, 0.549, 0.000)
Sb (0.804, 0.804, 0.000)

Main lines, in order of rising 2θ (10° ≤ 2θ ≤ 80°):
d = 4.120 Å, rel. 29; d = 3.123 Å, rel. 86; d = 2.921 Å, rel. 57; d = 2.747 Å, rel. 23; d = 2.642 Å, rel. 79; d = 2.489 Å, rel. 100; d = 2.208 Å, rel. 70; d = 1.693 Å, rel. 64; d = 1.343 Å, rel. 30; d = 1.323 Å, rel. 26



Record 7
PrZrSc2Sb2: computed powder diffractogram (Cu Kα), based on a cell relaxed with PBE.
Peak positions follow from Bragg's law for the DFT cell and can differ from measured ones.

Cell: 8.718 8.718 8.718 Å, 151.39 151.39 40.90°
Fractional positions:
Pr (0.000, 0.000, 0.000)
Zr (0.350, 0.350, 0.000)
Sc (0.186, 0.686, 0.500)
Sc (0.686, 0.186, 0.500)
Sb (0.551, 0.551, 0.000)
Sb (0.811, 0.811, 0.000)

Main lines, in order of rising 2θ (10° ≤ 2θ ≤ 80°):
d = 4.084 Å, rel. 31; d = 3.046 Å, rel. 87; d = 2.854 Å, rel. 60; d = 2.723 Å, rel. 27; d = 2.603 Å, rel. 75; d = 2.442 Å, rel. 100; d = 2.154 Å, rel. 70; d = 1.689 Å, rel. 24; d = 1.659 Å, rel. 38; d = 1.292 Å, rel. 25



Record 8
PrZr2ScSb2: computed powder diffractogram (Cu Kα), based on a cell relaxed with PBE.
Peak positions follow from Bragg's law for the DFT cell and can differ from measured ones.

Cell: 8.867 8.867 8.867 Å, 152.09 152.09 39.89°
Fractional positions:
Pr (0.000, 0.000, 0.000)
Zr (0.183, 0.683, 0.500)
Zr (0.683, 0.183, 0.500)
Sc (0.351, 0.351, 0.000)
Sb (0.549, 0.549, 0.000)
Sb (0.813, 0.813, 0.000)

Main lines, in order of rising 2θ (10° ≤ 2θ ≤ 80°):
d = 4.143 Å, rel. 25; d = 3.024 Å, rel. 23; d = 2.843 Å, rel. 74; d = 2.778 Å, rel. 28; d = 2.630 Å, rel. 42; d = 2.448 Å, rel. 100; d = 2.139 Å, rel. 56; d = 1.695 Å, rel. 24; d = 1.659 Å, rel. 20; d = 1.287 Å, rel. 25



Record 9
PrYZr2Sb2: computed powder diffractogram (Cu Kα), based on a cell relaxed with PBE.
Peak positions follow from Bragg's law for the DFT cell and can differ from measured ones.

Cell: 9.013 9.013 9.013 Å, 152.22 152.22 39.69°
Fractional positions:
Pr (0.000, 0.000, 0.000)
Y (0.354, 0.354, 0.000)
Zr (0.180, 0.680, 0.500)
Zr (0.680, 0.180, 0.500)
Sb (0.550, 0.550, 0.000)
Sb (0.809, 0.809, 0.000)

Main lines, in order of rising 2θ (10° ≤ 2θ ≤ 80°):
d = 3.059 Å, rel. 31; d = 2.878 Å, rel. 76; d = 2.826 Å, rel. 30; d = 2.669 Å, rel. 54; d = 2.481 Å, rel. 100; d = 2.163 Å, rel. 62; d = 1.718 Å, rel. 26; d = 1.681 Å, rel. 27; d = 1.350 Å, rel. 26; d = 1.302 Å, rel. 25



Record 10
PrSmSc2Sn2: computed powder diffractogram (Cu Kα), based on a cell relaxed with PBE.
Peak positions follow from Bragg's law for the DFT cell and can differ from measured ones.

Cell: 8.891 8.891 8.891 Å, 150.70 150.70 41.92°
Fractional positions:
Pr (0.000, 0.000, 0.000)
Sm (0.350, 0.350, 0.000)
Sc (0.177, 0.677, 0.500)
Sc (0.677, 0.177, 0.500)
Sn (0.549, 0.549, 0.000)
Sn (0.802, 0.802, 0.000)

Main lines, in order of rising 2θ (10° ≤ 2θ ≤ 80°):
d = 4.152 Å, rel. 28; d = 3.180 Å, rel. 100; d = 2.970 Å, rel. 61; d = 2.672 Å, rel. 88; d = 2.525 Å, rel. 98; d = 2.249 Å, rel. 77; d = 1.720 Å, rel. 48; d = 1.707 Å, rel. 30; d = 1.360 Å, rel. 28; d = 1.345 Å, rel. 27